No. 1
Theoretical powder X-ray diffraction pattern of Pm5Y6Sc for Cu Kα X-rays, from a GGA-PBE-relaxed structure.
Peak positions follow from Bragg's law for the DFT cell and can differ from measured ones.

The 6 most intense peaks (5 to 70 degrees two-theta), by intensity:
d_spacing  Position (°2θ)  I (rel.)  hkl
2.923  30.6  100.0  1 2 3
1.790  51.0  35.0  2 4 0
2.533  35.4  33.6  2 0 0
1.527  60.6  27.6  3 2 3
2.526  35.5  16.6  0 4 0
1.524  60.8  13.7  1 6 3

Crystal structure
abc: 5.064 10.105 15.208
angles: 90.00 90.00 90.00
Space group Immm (No. 71)
Unique sites:
Pm (0.000, 0.000, 0.000) x2
Pm (0.000, 0.000, 0.336) x4
Pm (0.000, 0.500, 0.334) x4
Y (0.000, 0.245, 0.500) x4
Y (0.000, 0.253, 0.165) x8
Sc (0.000, 0.500, 0.000) x2

***

No. 2
Theoretical powder X-ray diffraction pattern of PmY4Sc3 for Cu Kα X-rays, from a GGA-PBE-relaxed structure.
Peak positions follow from Bragg's law for the DFT cell and can differ from measured ones.

The 6 most intense peaks (5 to 70 degrees two-theta), by intensity:
d_spacing  Position (°2θ)  I (rel.)  hkl
2.755  32.5  100.0  0 2 4
2.814  31.8  54.1  0 4 0
2.374  37.9  53.4  1 2 3
3.231  27.6  44.2  1 0 1
2.857  31.3  43.7  1 1 2
8.406  10.5  31.4  0 1 1

Crystal structure
abc: 3.342 11.256 12.640
angles: 90.00 90.00 90.00
Space group Immm (No. 71)
Unique sites:
Pm (0.000, 0.000, 0.000) x2
Y (0.000, 0.255, 0.132) x8
Sc (0.000, 0.000, 0.500) x2
Sc (0.000, 0.500, 0.259) x4

***

No. 3
Theoretical powder X-ray diffraction pattern of PmY7Sc4 for Cu Kα X-rays, from a GGA-PBE-relaxed structure.
Peak positions follow from Bragg's law for the DFT cell and can differ from measured ones.

The 6 most intense peaks (5 to 70 degrees two-theta), by intensity:
d_spacing  Position (°2θ)  I (rel.)  hkl
2.757  32.5  100.0  1 2 0
2.718  33.0  50.4  2 0 1
2.866  31.2  32.4  2 0 -2
2.901  30.8  28.1  0 0 3
2.627  34.1  24.0  0 1 3
2.583  34.7  21.1  -1 2 2

Crystal structure
abc: 6.404 6.512 8.964
angles: 90.02 103.76 95.55
Space group P-1 (No. 2)
Unique sites:
Pm (0.000, 0.000, 0.000) x1
Y (0.000, 0.500, 0.000) x1
Y (0.195, 0.865, 0.596) x2
Y (0.300, 0.330, 0.371) x2
Y (0.480, 0.745, 0.944) x2
Sc (0.160, 0.358, 0.707) x2
Sc (0.374, 0.826, 0.282) x2

***

No. 4
Theoretical powder X-ray diffraction pattern of Pm4Y10Sc for Cu Kα X-rays, from a GGA-PBE-relaxed structure.
Peak positions follow from Bragg's law for the DFT cell and can differ from measured ones.

The 6 most intense peaks (5 to 70 degrees two-theta), by intensity:
d_spacing  Position (°2θ)  I (rel.)  hkl
2.780  32.2  100.0  2 2 2
2.866  31.2  92.4  4 0 0
3.179  28.1  81.4  2 0 2
2.206  40.9  29.6  3 3 2
2.935  30.5  29.1  3 2 1
2.129  42.5  26.4  4 2 2

Crystal structure
abc: 11.464 11.464 7.641
angles: 90.00 90.00 90.00
Space group I4/mmm (No. 139)
Unique sites:
Pm (0.232, 0.232, 0.000) x8
Y (0.000, 0.209, 0.283) x16
Y (0.000, 0.500, 0.250) x4
Sc (0.000, 0.000, 0.000) x2

***

No. 5
Theoretical powder X-ray diffraction pattern of Pm3Y2Sc3 for Cu Kα X-rays, from a GGA-PBE-relaxed structure.
Peak positions follow from Bragg's law for the DFT cell and can differ from measured ones.

The 6 most intense peaks (5 to 70 degrees two-theta), by intensity:
d_spacing  Position (°2θ)  I (rel.)  hkl
2.844  31.5  100.0  1 1 4
2.491  36.1  34.3  0 2 0
1.498  62.0  26.9  1 3 4
1.732  52.9  22.3  2 2 0
4.683  18.9  18.8  1 0 1
2.409  37.3  15.7  2 0 0

Crystal structure
abc: 4.818 4.986 19.918
angles: 90.00 90.00 90.00
Space group Immm (No. 71)
Unique sites:
Pm (0.000, 0.000, 0.000) x2
Pm (0.000, 0.500, 0.121) x4
Y (0.000, 0.000, 0.248) x4
Sc (0.000, 0.000, 0.500) x2
Sc (0.000, 0.500, 0.376) x4

***

No. 6
Theoretical powder X-ray diffraction pattern of Pm2ScZn6 for Cu Kα X-rays, from a GGA-PBE-relaxed structure.
Peak positions follow from Bragg's law for the DFT cell and can differ from measured ones.

The 6 most intense peaks (5 to 70 degrees two-theta), by intensity:
d_spacing  Position (°2θ)  I (rel.)  hkl
2.583  34.7  100.0  1 1 1
2.253  40.0  64.3  3 0 0
1.698  54.0  27.3  2 2 1
1.356  69.3  24.9  4 1 1
1.369  68.6  24.7  3 0 2
6.759  13.1  12.1  1 0 0

Crystal structure
abc: 7.8042 7.8042 3.4471
angles: 90.00 90.00 120.00
Space group P6/mmm (No. 191)
Unique sites:
Pm (0.3333, 0.6667, 0.0000) x2
Sc (0.0000, 0.0000, 0.0000) x1
Zn (0.0000, 0.3243, 0.5000) x6